Entry 1:
Diffraction record for BePdSeO. The XRD peak list is theoretical, not measured: it uses a crystal structure in OQMD, relaxed with GGA-PBE and a wavelength of 1.5418 Å.
Kinematic intensities with the Lorentz-polarization factor, no thermal factor.

Largest 10 diffraction maxima, low angle first, 2θ = 10–90°:
Position (°2θ)	I (rel.)
21.11	29.3
22.29	65.2
25.70	17.4
32.32	14.3
36.32	100.0
38.42	14.7
42.98	13.0
48.99	22.3
52.82	15.3
56.93	14.6

Cell: 4.955 6.112 7.976 Å, 90.00 90.00 90.00°
Element x y z (fractional)
Be 0.073 0.247 0.418
Be 0.427 0.753 0.918
Be 0.573 0.253 0.582
Be 0.927 0.747 0.082
Pd 0.000 0.484 0.753
Pd 0.000 0.984 0.747
Pd 0.500 0.016 0.247
Pd 0.500 0.516 0.253
Se 0.124 0.769 0.328
Se 0.376 0.231 0.828
Se 0.624 0.731 0.672
Se 0.876 0.269 0.172
O 0.111 0.738 0.923
O 0.389 0.262 0.423
O 0.611 0.762 0.077
O 0.889 0.238 0.577


Entry 2:
Diffraction record for Ta2Be2O5. The XRD peak list is theoretical, not measured: it uses a crystal structure in OQMD, relaxed with GGA-PBE and a wavelength of 1.5418 Å.
Kinematic intensities with the Lorentz-polarization factor, no thermal factor.

Largest 10 diffraction maxima, low angle first, 2θ = 10–90°:
Position (°2θ)	I (rel.)
21.05	72.8
26.38	100.0
33.99	95.6
37.66	31.1
43.53	39.3
51.02	28.6
54.32	22.5
58.34	28.2
61.37	23.7
65.64	29.6

Cell: 3.378 3.378 8.442 Å, 90.00 90.00 90.00°
Element x y z (fractional)
Ta 0.000 0.000 0.235
Ta 0.000 0.000 0.765
Be 0.500 0.500 0.000
Be 0.500 0.500 0.500
O 0.000 0.000 0.000
O 0.000 0.500 0.359
O 0.000 0.500 0.641
O 0.500 0.000 0.359
O 0.500 0.000 0.641


Entry 3:
Diffraction record for TbBeO3. The XRD peak list is theoretical, not measured: it uses a crystal structure in OQMD, relaxed with GGA-PBE and a wavelength of 1.5418 Å.
Kinematic intensities with the Lorentz-polarization factor, no thermal factor.

Largest 10 diffraction maxima, low angle first, 2θ = 10–90°:
Position (°2θ)	I (rel.)
24.66	100.0
25.06	55.6
27.71	24.6
35.44	93.4
36.16	25.2
42.79	37.9
44.50	45.2
50.55	23.4
57.23	37.2
64.54	28.7

Cell: 5.257 7.106 4.968 Å, 90.00 90.00 90.00°
Element x y z (fractional)
Tb 0.054 0.250 0.015
Tb 0.446 0.750 0.515
Tb 0.554 0.250 0.485
Tb 0.946 0.750 0.985
Be 0.000 0.000 0.500
Be 0.000 0.500 0.500
Be 0.500 0.000 0.000
Be 0.500 0.500 0.000
O 0.003 0.750 0.447
O 0.225 0.529 0.797
O 0.225 0.971 0.797
O 0.275 0.029 0.297
O 0.275 0.471 0.297
O 0.497 0.250 0.947
O 0.503 0.750 0.053
O 0.725 0.529 0.703
O 0.725 0.971 0.703
O 0.775 0.029 0.203
O 0.775 0.471 0.203
O 0.997 0.250 0.553


Entry 4:
Diffraction record for Zr2Be2O5. The XRD peak list is theoretical, not measured: it uses a crystal structure in OQMD, relaxed with GGA-PBE and a wavelength of 1.5418 Å.
Kinematic intensities with the Lorentz-polarization factor, no thermal factor.

Largest 10 diffraction maxima, low angle first, 2θ = 10–90°:
Position (°2θ)	I (rel.)
25.76	97.9
26.70	28.5
36.75	34.7
37.44	98.2
46.00	100.0
52.95	38.6
59.79	18.9
61.69	17.2
66.63	35.6
79.85	18.8

Cell: 3.459 3.459 6.678 Å, 90.00 90.00 90.00°
Element x y z (fractional)
Zr 0.000 0.000 0.000
Zr 0.000 0.000 0.500
Be 0.500 0.500 0.243
Be 0.500 0.500 0.757
O 0.000 0.500 0.276
O 0.000 0.500 0.724
O 0.500 0.000 0.276
O 0.500 0.000 0.724
O 0.500 0.500 0.000


Entry 5:
Diffraction record for Be3Os. The XRD peak list is theoretical, not measured: it uses a crystal structure in OQMD, relaxed with GGA-PBE and a wavelength of 1.5418 Å.
Kinematic intensities with the Lorentz-polarization factor, no thermal factor.

Largest 10 diffraction maxima, low angle first, 2θ = 10–90°:
Position (°2θ)	I (rel.)
20.83	19.0
21.51	100.0
26.15	70.9
31.57	25.2
33.21	48.2
45.44	35.1
46.47	49.4
47.68	13.7
48.01	28.9
58.31	12.1

Cell: 6.032 6.032 5.668 Å, 90.00 90.00 90.00°
Element x y z (fractional)
Be 0.000 0.500 0.000
Be 0.000 0.500 0.500
Be 0.148 0.148 0.228
Be 0.148 0.148 0.772
Be 0.352 0.648 0.272
Be 0.352 0.648 0.728
Be 0.500 0.000 0.000
Be 0.500 0.000 0.500
Be 0.648 0.352 0.272
Be 0.648 0.352 0.728
Be 0.852 0.852 0.228
Be 0.852 0.852 0.772
Os 0.146 0.854 0.500
Os 0.354 0.354 0.000
Os 0.646 0.646 0.000
Os 0.854 0.146 0.500


Entry 6:
Diffraction record for BeSiSnOs. The XRD peak list is theoretical, not measured: it uses a crystal structure in OQMD, relaxed with GGA-PBE and a wavelength of 1.5418 Å.
Kinematic intensities with the Lorentz-polarization factor, no thermal factor.

Largest 10 diffraction maxima, low angle first, 2θ = 10–90°:
Position (°2θ)	I (rel.)
24.99	10.0
28.94	81.6
41.38	100.0
48.96	4.8
51.29	23.4
59.96	17.0
65.99	1.9
67.93	30.8
75.47	35.5
89.93	12.1

Cell: 4.364 4.364 4.364 Å, 60.00 60.00 60.00°
Element x y z (fractional)
Be 0.000 0.000 0.000
Si 0.500 0.500 0.500
Sn 0.750 0.750 0.750
Os 0.250 0.250 0.250